Simulated powder XRD pattern of Pm4ZnAu7 for Cu Kα (λ = 1.5418 Å), from a DFT-relaxed cell (GGA-PBE, Alexandria).
Intensities are scaled so that the largest is 100.

Crystal structure
Unit cell a=7.781 b=7.781 c=9.234 alpha=119.75 beta=119.75 gamma=37.33
Atoms (fractional coordinates):
Pm1 0.063 0.063 0.250
Pm2 0.229 0.229 0.758
Pm3 0.771 0.771 0.242
Pm4 0.937 0.937 0.750
Zn1 0.500 0.500 0.500
Au1 0.000 0.000 0.500
Au2 0.167 0.167 0.045
Au3 0.311 0.311 0.509
Au4 0.402 0.402 0.156
Au5 0.598 0.598 0.844
Au6 0.689 0.689 0.491
Au7 0.833 0.833 0.955

Principal peaks in the range 10° ≤ 2θ ≤ 90°, by angle:
- 34.19°, intensity 100
- 34.43°, intensity 50
- 35.95°, intensity 29
- 36.08°, intensity 68
- 36.57°, intensity 32
- 52.31°, intensity 23